[1]
# Sr3Li2IrO8
Simulated XRD peak list, a wavelength of 1.5418 Å. Input: a GGA-PBE-relaxed structure.

Structural model:
Lattice parameters (Å, degrees): 5.5475 5.5475 7.2773 90.00 90.00 120.00
Space group P-3m1 (No. 164)
One atom of each set of equivalent atoms:
Sr1 0.0000 0.0000 0.0000 x1
Sr2 0.3333 0.6667 0.6386 x2
Li1 0.3333 0.6667 0.2131 x2
Ir1 0.0000 0.0000 0.5000 x1
O1 0.1609 0.3217 0.3428 x6
O2 0.3333 0.6667 0.9630 x2

Top 6 peaks for 15 to 90 degrees two-theta, by intensity:
| 2θ/deg | I/Imax | hkl |
| --- | --- | --- |
| 32.27 | 100 | 1 1 0 |
| 30.83 | 92 | 0 1 2 |
| 18.47 | 63 | 1 0 0 |
| 45.23 | 50 | 2 0 2 |
| 40.91 | 38 | 1 1 2 |
| 56.65 | 35 | 1 2 2 |

=====

[2]
# ZnSnPb2
Simulated XRD peak list, a wavelength of 1.5418 Å. Input: a GGA-PBE-relaxed structure.

Structural model:
Lattice parameters (Å, degrees): 4.5572 4.5572 22.1146 90.00 90.00 90.00
Space group I-42d (No. 122)
One atom of each set of equivalent atoms:
Zn1 0.0000 0.0000 0.0000 x4
Sn1 0.0000 0.0000 0.5000 x4
Pb1 0.2432 0.2500 0.1250 x8

Top 6 peaks for 15 to 90 degrees two-theta, by intensity:
| 2θ/deg | I/Imax | hkl |
| --- | --- | --- |
| 28.86 | 100 | 1 1 2 |
| 42.93 | 62 | 2 0 4 |
| 37.06 | 52 | 1 1 6 |
| 32.39 | 33 | 0 0 8 |
| 50.02 | 23 | 1 1 10 |
| 16.03 | 22 | 0 0 4 |

=====

[3]
# Cd3CuO3
Simulated XRD peak list, a wavelength of 1.5418 Å. Input: a GGA-PBE-relaxed structure.

Structural model:
Lattice parameters (Å, degrees): 7.1167 7.1167 4.7443 90.00 90.00 120.00
Space group P6_3/m (No. 176)
One atom of each set of equivalent atoms:
Cd1 0.0780 0.3669 0.2500 x6
Cu1 0.3333 0.6667 0.7500 x2
O1 0.0678 0.3549 0.7500 x6

Top 6 peaks for 15 to 90 degrees two-theta, by intensity:
| 2θ/deg | I/Imax | hkl |
| --- | --- | --- |
| 31.43 | 100 | 1 1 1 |
| 34.71 | 67 | 2 0 1 |
| 38.65 | 50 | 1 2 0 |
| 37.93 | 50 | 0 0 2 |
| 44.08 | 35 | 3 0 0 |
| 55.27 | 33 | 1 2 2 |

=====

[4]
# YHBrF
Simulated XRD peak list, a wavelength of 1.5418 Å. Input: a GGA-PBE-relaxed structure.

Structural model:
Lattice parameters (Å, degrees): 3.7738 3.8322 11.4369 90.00 90.00 90.00
Space group Imm2 (No. 44)
One atom of each set of equivalent atoms:
Y1 0.0000 0.0000 0.0000 x2
H1 0.0000 0.5000 0.4256 x2
Br1 0.0000 0.0000 0.6454 x2
F1 0.0000 0.5000 0.9110 x2

Top 6 peaks for 15 to 90 degrees two-theta, by intensity:
| 2θ/deg | I/Imax | hkl |
| --- | --- | --- |
| 33.37 | 100 | 1 0 3 |
| 15.50 | 64 | 0 0 2 |
| 33.15 | 56 | 0 1 3 |
| 36.94 | 38 | 1 1 2 |
| 24.84 | 37 | 1 0 1 |
| 59.44 | 22 | 1 1 6 |

=====

[5]
# Tb5Sm5Dy
Simulated XRD peak list, a wavelength of 1.5418 Å. Input: a GGA-PBE-relaxed structure.

Structural model:
Lattice parameters (Å, degrees): 6.9280 6.9520 8.5255 75.47 76.08 71.22
Space group P-1 (No. 2)
One atom of each set of equivalent atoms:
Tb1 0.0000 0.0000 0.0000 x1
Tb2 0.1793 0.7113 0.3545 x2
Tb3 0.2844 0.3524 0.7080 x2
Sm1 0.1442 0.2459 0.2711 x2
Sm2 0.3488 0.8596 0.6410 x2
Sm3 0.5000 0.5000 0.0000 x1
Dy1 0.5000 0.0000 0.0000 x1

Top 6 peaks for 15 to 90 degrees two-theta, by intensity:
| 2θ/deg | I/Imax | hkl |
| --- | --- | --- |
| 31.70 | 100 | 2 2 1 |
| 31.55 | 57 | 2 0 -1 |
| 31.97 | 51 | 0 2 2 |
| 32.26 | 50 | 2 0 2 |
| 33.07 | 38 | 0 0 3 |
| 32.18 | 27 | 1 1 3 |

=====

[6]
# Sr3Rh2O9
Simulated XRD peak list, a wavelength of 1.5418 Å. Input: a GGA-PBE-relaxed structure.

Structural model:
Lattice parameters (Å, degrees): 9.7457 9.7457 13.6198 90.00 90.00 120.00
Space group R-3c (No. 167, hexagonal axes)
One atom of each set of equivalent atoms:
Sr1 0.0000 0.3321 0.2500 x18
Rh1 0.0000 0.0000 0.1477 x12
O1 0.0000 0.1571 0.7500 x18
O2 0.0021 0.1720 0.4157 x36

Top 6 peaks for 15 to 90 degrees two-theta, by intensity:
| 2θ/deg | I/Imax | hkl |
| --- | --- | --- |
| 31.81 | 100 | 3 0 0 |
| 42.09 | 62 | 2 2 3 |
| 26.84 | 58 | 1 1 3 |
| 44.01 | 32 | 1 1 6 |
| 55.31 | 28 | 2 2 6 |
| 18.21 | 26 | 1 1 0 |

=====

[7]
# K3Y3SiS8
Simulated XRD peak list, a wavelength of 1.5418 Å. Input: a GGA-PBE-relaxed structure.

Structural model:
Lattice parameters (Å, degrees): 7.8318 7.8318 22.5494 90.00 90.00 120.00
Space group R-3m (No. 166, hexagonal axes)
One atom of each set of equivalent atoms:
K1 0.0000 0.5000 0.0000 x9
Y1 0.0000 0.5000 0.5000 x9
Si1 0.0000 0.0000 0.5000 x3
S1 0.0000 0.0000 0.2341 x6
S2 0.0415 0.5208 0.2273 x18

Top 6 peaks for 15 to 90 degrees two-theta, by intensity:
| 2θ/deg | I/Imax | hkl |
| --- | --- | --- |
| 30.77 | 100 | 0 2 4 |
| 41.67 | 31 | 2 0 8 |
| 46.37 | 30 | 2 2 0 |
| 38.55 | 22 | 0 2 7 |
| 56.69 | 14 | 4 0 4 |
| 64.05 | 14 | 0 4 8 |

=====

[8]
# Cd3HgPd4
Simulated XRD peak list, a wavelength of 1.5418 Å. Input: a GGA-PBE-relaxed structure.

Structural model:
Lattice parameters (Å, degrees): 15.7148 4.3166 4.3166 90.00 105.78 90.00
Space group C2/m (No. 12)
One atom of each set of equivalent atoms:
Cd1 0.0000 0.0000 0.0000 x2
Cd2 0.2499 0.0000 0.2499 x4
Hg1 0.0000 0.5000 0.5000 x2
Pd1 0.1262 0.0000 0.6262 x4
Pd2 0.1262 0.5000 0.1262 x4

Top 6 peaks for 15 to 90 degrees two-theta, by intensity:
| 2θ/deg | I/Imax | hkl |
| --- | --- | --- |
| 37.88 | 100 | 3 1 1 |
| 41.86 | 38 | 0 2 0 |
| 73.78 | 20 | 3 3 1 |
| 48.14 | 12 | 8 0 0 |
| 60.68 | 12 | 2 2 -2 |
| 65.66 | 10 | 8 2 0 |